(1)
Starting from the PBE+U geometry in the Materials Project, the powder XRD pattern of MgCd2Ni4O8 was calculated for Cu Kα (weighted mean of Kα1 and Kα2).
Peak positions follow from Bragg's law for the DFT cell and can differ from measured ones.

Peak list (6 most intense, 15° ≤ 2θ ≤ 90°, sorted by position)
| hkl | Position (°2θ) | I/Imax |
| --- | --- | --- |
| 0 1 -1 | 27.85 | 69 |
| 2 1 1 | 29.69 | 42 |
| -1 1 1 | 32.60 | 58 |
| 1 2 2 | 33.17 | 100 |
| 1 2 0 | 33.36 | 52 |
| 2 1 0 | 34.33 | 66 |

```
MgCd2Ni4O8
1.0
6.0207 0.0000 0.0000
2.8662 5.6039 0.0000
2.9591 1.9147 5.2329
Mg Cd Ni O
1 2 4 8
Direct
0.0000 0.0000 0.0000
0.3272 0.7312 0.6775
0.9367 0.5988 0.5445
0.0429 0.2541 0.1842
0.5331 0.2272 0.1655
0.5803 0.6992 0.1293
0.5825 0.1787 0.6488
0.3337 0.0032 0.3203
0.3613 0.3594 0.9234
0.3643 0.4647 0.3693
0.3792 0.9077 0.8886
0.7729 0.4793 0.3791
0.7906 0.0165 0.3570
0.8168 0.3845 0.9511
0.8243 0.9047 0.8827
```

***

(2)
Starting from the PBE+U geometry in the Materials Project, the powder XRD pattern of Mg14CdNiO16 was calculated for Cu Kα (weighted mean of Kα1 and Kα2).
Peak positions follow from Bragg's law for the DFT cell and can differ from measured ones.

Peak list (6 most intense, 15° ≤ 2θ ≤ 90°, sorted by position)
| hkl | Position (°2θ) | I/Imax |
| --- | --- | --- |
| 0 2 0 | 20.64 | 17 |
| 0 1 2 | 23.11 | 18 |
| 1 2 2 | 36.15 | 25 |
| 2 0 0 | 41.99 | 100 |
| 2 4 0 | 60.89 | 57 |
| 2 4 4 | 76.72 | 17 |

```
Mg14CdNiO16
1.0
4.3068 0.0000 0.0000
0.0000 8.6030 0.0000
0.0000 0.0000 8.6033
Mg Cd Ni O
14 1 1 16
Direct
0.0000 0.0000 0.0000
0.0000 0.0000 0.5000
0.0000 0.2481 0.2468
0.0000 0.2481 0.7532
0.0000 0.7519 0.2468
0.0000 0.7519 0.7532
0.5000 0.0000 0.2490
0.5000 0.0000 0.7510
0.5000 0.2450 0.5000
0.5000 0.2504 0.0000
0.5000 0.5000 0.2437
0.5000 0.5000 0.7563
0.5000 0.7496 0.0000
0.5000 0.7550 0.5000
0.0000 0.5000 0.5000
0.0000 0.5000 0.0000
0.0000 0.0000 0.2477
0.0000 0.0000 0.7523
0.0000 0.2350 0.5000
0.0000 0.2460 0.0000
0.0000 0.5000 0.2348
0.0000 0.5000 0.7652
0.0000 0.7540 0.0000
0.0000 0.7650 0.5000
0.5000 0.0000 0.0000
0.5000 0.0000 0.5000
0.5000 0.2513 0.2500
0.5000 0.2513 0.7500
0.5000 0.5000 0.0000
0.5000 0.5000 0.5000
0.5000 0.7487 0.2500
0.5000 0.7487 0.7500
```

***

(3)
Starting from the PBE+U geometry in the Materials Project, the powder XRD pattern of Mg14CdNiO16 was calculated for Cu Kα (weighted mean of Kα1 and Kα2).
Peak positions follow from Bragg's law for the DFT cell and can differ from measured ones.

Peak list (6 most intense, 15° ≤ 2θ ≤ 90°, sorted by position)
| hkl | Position (°2θ) | I/Imax |
| --- | --- | --- |
| 2 0 0 | 20.66 | 26 |
| 2 2 1 | 36.19 | 38 |
| 0 0 2 | 41.95 | 51 |
| 4 0 0 | 42.07 | 100 |
| 4 0 2 | 60.95 | 86 |
| 4 4 2 | 76.80 | 26 |

```
Mg14CdNiO16
1.0
8.5907 0.0000 0.0000
0.0000 8.5907 0.0000
0.0000 0.0000 4.3070
Mg Cd Ni O
14 1 1 16
Direct
0.0000 0.2483 0.0000
0.0000 0.5000 0.5000
0.0000 0.7517 0.0000
0.2446 0.5000 0.0000
0.2469 0.2469 0.5000
0.2469 0.7531 0.5000
0.2483 0.0000 0.0000
0.5000 0.0000 0.5000
0.5000 0.2446 0.0000
0.5000 0.7554 0.0000
0.7517 0.0000 0.0000
0.7531 0.2469 0.5000
0.7531 0.7531 0.5000
0.7554 0.5000 0.0000
0.5000 0.5000 0.5000
0.0000 0.0000 0.5000
0.0000 0.0000 0.0000
0.0000 0.2482 0.5000
0.0000 0.5000 0.0000
0.0000 0.7518 0.5000
0.2344 0.5000 0.5000
0.2482 0.0000 0.5000
0.2502 0.2502 0.0000
0.2502 0.7498 0.0000
0.5000 0.0000 0.0000
0.5000 0.2344 0.5000
0.5000 0.5000 0.0000
0.5000 0.7656 0.5000
0.7498 0.2502 0.0000
0.7498 0.7498 0.0000
0.7518 0.0000 0.5000
0.7656 0.5000 0.5000
```